[1]
Starting from a DFT-relaxed cell (GGA-PBE, Alexandria), the powder X-ray diffraction pattern of NdSbN was calculated for a wavelength of 1.5418 Å.

a b c (Å): 4.193 4.193 8.270
angles (deg): 90.00 90.00 90.00
Space group P4/nmm (No. 129, origin choice 2)
Inequivalent atoms, fractional coordinates:
Nd  0.250  0.250  0.129 [2 per cell]
Sb  0.250  0.250  0.559 [2 per cell]
N  0.250  0.750  0.000 [2 per cell]

The 12 most intense peaks (2θ from 10° to 80°), low angle first:
h k l  2θ (°)  Rel. int.
0 0 2  21.5  110
1 0 1  23.8  133
1 1 0  30.1  629
1 0 2  30.4  1000
0 0 3  32.5  91
2 0 0  43.2  288
1 1 3  44.9  205
2 1 2  53.7  400
1 0 5  60.1  147
2 2 0  62.7  92
3 1 0  71.1  109
2 1 5  76.9  143

---

[2]
Starting from a DFT-relaxed cell (GGA-PBE, Alexandria), the powder X-ray diffraction pattern of NdSbN was calculated for a wavelength of 1.5418 Å.

a b c (Å): 5.101 5.098 11.404
angles (deg): 90.00 92.75 90.00
Space group C2/m (No. 12)
Inequivalent atoms, fractional coordinates:
Nd  0.238  0.000  0.388 [4 per cell]
Sb  0.242  0.500  0.933 [4 per cell]
N  0.240  0.500  0.405 [4 per cell]

The 12 most intense peaks (2θ from 10° to 80°), low angle first:
h k l  2θ (°)  Rel. int.
0 0 2  15.6  582
0 0 3  23.4  248
1 1 -1  25.7  436
1 1 1  26.2  612
0 0 4  31.4  227
1 1 -3  33.7  762
1 1 3  34.9  647
0 2 0  35.2  1000
0 0 6  47.9  226
2 2 0  50.7  345
1 1 -6  53.8  165
3 1 -3  61.5  141

---

[3]
Starting from a DFT-relaxed cell (GGA-PBE, Alexandria), the powder X-ray diffraction pattern of Nd6Sb3N was calculated for a wavelength of 1.5418 Å.

a b c (Å): 12.205 14.801 7.258
angles (deg): 90.00 90.00 90.00
Space group Cmc2_1 (No. 36)
Inequivalent atoms, fractional coordinates:
Nd  0.000  0.052  0.000 [4 per cell]
Nd  0.000  0.225  0.569 [4 per cell]
Nd  0.154  0.263  0.025 [8 per cell]
Nd  0.163  0.470  0.549 [8 per cell]
Sb  0.000  0.388  0.257 [4 per cell]
Sb  0.169  0.103  0.333 [8 per cell]
N  0.000  0.198  0.885 [4 per cell]

The 12 most intense peaks (2θ from 10° to 80°), low angle first:
h k l  2θ (°)  Rel. int.
2 2 1  22.5  297
0 0 2  24.5  214
3 1 1  25.8  201
0 4 1  27.0  260
3 3 1  31.0  1000
3 1 2  33.6  662
0 4 2  34.6  520
3 5 0  37.6  278
6 0 0  44.5  230
0 0 4  50.2  258
6 4 2  57.6  234
3 7 3  62.7  177

---

[4]
Starting from a DFT-relaxed cell (GGA-PBE, Alexandria), the powder X-ray diffraction pattern of Nd4Sb2SeN2 was calculated for a wavelength of 1.5418 Å.

a b c (Å): 16.103 4.212 8.593
angles (deg): 90.00 118.65 90.00
Space group C2/m (No. 12)
Inequivalent atoms, fractional coordinates:
Nd  0.024  0.000  0.277 [4 per cell]
Nd  0.226  0.500  0.638 [4 per cell]
Sb  0.101  0.500  0.055 [4 per cell]
Se  0.000  0.500  0.500 [2 per cell]
N  0.177  0.000  0.488 [4 per cell]

The 12 most intense peaks (2θ from 10° to 80°), low angle first:
h k l  2θ (°)  Rel. int.
2 0 -1  12.4  307
4 0 -2  24.9  232
1 1 1  26.4  227
3 1 0  28.4  193
1 1 -2  30.1  1000
4 0 1  32.7  327
5 1 -1  35.2  473
6 0 -3  37.8  180
0 2 0  43.0  285
2 0 -4  43.3  156
3 1 3  53.5  175
4 2 1  55.0  156